No. 1
Calculated XRD peak list of SbAs for copper Kα, from a DFT-relaxed cell (GGA-PBE, Alexandria).
Kinematic intensities with the Lorentz-polarization factor, no thermal factor.

Atomic structure:
```
data_SbAs
_chemical_formula_sum 'Sb3 As3'
_cell_length_a 8.3182
_cell_length_b 8.3182
_cell_length_c 8.3182
_cell_angle_alpha 152.55
_cell_angle_beta 51.99
_cell_angle_gamma 136.75
_symmetry_space_group_name_H-M 'P 1'
_symmetry_Int_Tables_number 1
loop_
_symmetry_equiv_pos_as_xyz
'x,y,z'
loop_
_atom_site_label
_atom_site_type_symbol
_atom_site_fract_x
_atom_site_fract_y
_atom_site_fract_z
Sb1 Sb 0.0000 0.0000 0.0000
Sb2 Sb 0.0610 0.7583 0.3027
Sb3 Sb 0.4557 0.7583 0.6973
As1 As 0.3024 0.8024 0.5000
As2 As 0.6404 0.3192 0.3212
As3 As 0.9979 0.3192 0.6788
```

Most intense lines, 10 to 90 degrees two-theta, sorted by position:
d = 5.673 Å, rel. 63; d = 3.094 Å, rel. 100; d = 3.066 Å, rel. 36; d = 3.033 Å, rel. 39; d = 2.836 Å, rel. 50; d = 2.492 Å, rel. 33; d = 2.482 Å, rel. 37; d = 2.390 Å, rel. 64; d = 2.384 Å, rel. 31; d = 1.881 Å, rel. 91

***

No. 2
Calculated XRD peak list of LaDy2TmSc for copper Kα, from a DFT-relaxed cell (GGA-PBE, Alexandria).
Kinematic intensities with the Lorentz-polarization factor, no thermal factor.

Atomic structure:
```
data_LaDy2TmSc
_chemical_formula_sum 'La1 Dy2 Tm1 Sc1'
_cell_length_a 3.5700
_cell_length_b 5.4496
_cell_length_c 8.3448
_cell_angle_alpha 90.00
_cell_angle_beta 90.00
_cell_angle_gamma 90.00
_symmetry_space_group_name_H-M 'P 1'
_symmetry_Int_Tables_number 1
loop_
_symmetry_equiv_pos_as_xyz
'x,y,z'
loop_
_atom_site_label
_atom_site_type_symbol
_atom_site_fract_x
_atom_site_fract_y
_atom_site_fract_z
La1 La 0.0000 0.0000 0.0000
Dy1 Dy 0.0000 0.5000 0.3148
Dy2 Dy 0.0000 0.5000 0.6852
Tm1 Tm 0.5000 0.0000 0.5000
Sc1 Sc 0.5000 0.5000 0.0000
```

Most intense lines, 10 to 90 degrees two-theta, sorted by position:
d = 3.313 Å, rel. 78; d = 2.986 Å, rel. 24; d = 2.812 Å, rel. 100; d = 2.725 Å, rel. 45; d = 2.478 Å, rel. 22; d = 2.194 Å, rel. 35; d = 1.709 Å, rel. 32; d = 1.589 Å, rel. 18; d = 1.571 Å, rel. 18; d = 1.457 Å, rel. 24

***

No. 3
Calculated XRD peak list of ZrGaI6 for copper Kα, from a DFT-relaxed cell (GGA-PBE, Alexandria).
Kinematic intensities with the Lorentz-polarization factor, no thermal factor.

Atomic structure:
```
data_ZrGaI6
_chemical_formula_sum 'Zr1 Ga1 I6'
_cell_length_a 7.8700
_cell_length_b 7.8700
_cell_length_c 7.8700
_cell_angle_alpha 56.13
_cell_angle_beta 56.13
_cell_angle_gamma 56.13
_symmetry_space_group_name_H-M 'P 1'
_symmetry_Int_Tables_number 1
loop_
_symmetry_equiv_pos_as_xyz
'x,y,z'
loop_
_atom_site_label
_atom_site_type_symbol
_atom_site_fract_x
_atom_site_fract_y
_atom_site_fract_z
Zr1 Zr 0.0000 0.0000 0.0000
Ga1 Ga 0.5000 0.5000 0.5000
I1 I 0.0856 0.7609 0.4012
I2 I 0.2391 0.5988 0.9144
I3 I 0.4012 0.0856 0.7609
I4 I 0.5988 0.9144 0.2391
I5 I 0.7609 0.4012 0.0856
I6 I 0.9144 0.2391 0.5988
```

Most intense lines, 10 to 90 degrees two-theta, sorted by position:
d = 5.384 Å, rel. 15; d = 3.304 Å, rel. 14; d = 3.230 Å, rel. 100; d = 2.465 Å, rel. 33; d = 2.138 Å, rel. 30; d = 1.893 Å, rel. 22; d = 1.795 Å, rel. 14; d = 1.783 Å, rel. 17; d = 1.369 Å, rel. 13; d = 1.307 Å, rel. 12

***

No. 4
Calculated XRD peak list of Zn2CuSi for copper Kα, from a DFT-relaxed cell (GGA-PBE, Alexandria).
Kinematic intensities with the Lorentz-polarization factor, no thermal factor.

Atomic structure:
```
data_Zn2CuSi
_chemical_formula_sum 'Zn2 Cu1 Si1'
_cell_length_a 6.3010
_cell_length_b 6.3010
_cell_length_c 6.3010
_cell_angle_alpha 155.90
_cell_angle_beta 143.13
_cell_angle_gamma 44.53
_symmetry_space_group_name_H-M 'P 1'
_symmetry_Int_Tables_number 1
loop_
_symmetry_equiv_pos_as_xyz
'x,y,z'
loop_
_atom_site_label
_atom_site_type_symbol
_atom_site_fract_x
_atom_site_fract_y
_atom_site_fract_z
Zn1 Zn 0.1993 0.1993 0.0000
Zn2 Zn 0.8007 0.8007 0.0000
Cu1 Cu 0.0000 0.5000 0.5000
Si1 Si 0.5000 0.0000 0.5000
```

Most intense lines, 10 to 90 degrees two-theta, sorted by position:
d = 3.771 Å, rel. 42; d = 2.916 Å, rel. 30; d = 2.783 Å, rel. 16; d = 2.179 Å, rel. 33; d = 2.055 Å, rel. 100; d = 2.013 Å, rel. 35; d = 1.992 Å, rel. 29; d = 1.470 Å, rel. 17; d = 1.214 Å, rel. 17; d = 1.162 Å, rel. 14

***

No. 5
Calculated XRD peak list of SrCdSnBr6 for copper Kα, from a DFT-relaxed cell (GGA-PBE, Alexandria).
Kinematic intensities with the Lorentz-polarization factor, no thermal factor.

Atomic structure:
```
data_SrCdSnBr6
_chemical_formula_sum 'Sr2 Cd2 Sn2 Br12'
_cell_length_a 6.9706
_cell_length_b 6.9706
_cell_length_c 13.3921
_cell_angle_alpha 90.00
_cell_angle_beta 90.00
_cell_angle_gamma 90.00
_symmetry_space_group_name_H-M 'P 1'
_symmetry_Int_Tables_number 1
loop_
_symmetry_equiv_pos_as_xyz
'x,y,z'
loop_
_atom_site_label
_atom_site_type_symbol
_atom_site_fract_x
_atom_site_fract_y
_atom_site_fract_z
Sr1 Sr 0.0000 0.0000 0.0000
Sr2 Sr 0.5000 0.5000 0.5000
Cd1 Cd 0.0000 0.0000 0.6666
Cd2 Cd 0.5000 0.5000 0.1666
Sn1 Sn 0.0000 0.0000 0.3310
Sn2 Sn 0.5000 0.5000 0.8310
Br1 Br 0.1876 0.1876 0.5083
Br2 Br 0.1938 0.1938 0.8200
Br3 Br 0.2083 0.2083 0.1690
Br4 Br 0.2917 0.7083 0.6690
Br5 Br 0.3062 0.6938 0.3200
Br6 Br 0.3124 0.6876 0.0083
Br7 Br 0.6876 0.3124 0.0083
Br8 Br 0.6938 0.3062 0.3200
Br9 Br 0.7083 0.2917 0.6690
Br10 Br 0.7917 0.7917 0.1690
Br11 Br 0.8062 0.8062 0.8200
Br12 Br 0.8124 0.8124 0.5083
```

Most intense lines, 10 to 90 degrees two-theta, sorted by position:
d = 4.929 Å, rel. 95; d = 3.309 Å, rel. 95; d = 3.117 Å, rel. 36; d = 2.556 Å, rel. 100; d = 2.464 Å, rel. 44; d = 2.232 Å, rel. 26; d = 2.061 Å, rel. 70; d = 2.033 Å, rel. 19; d = 1.654 Å, rel. 24; d = 1.243 Å, rel. 24

***

No. 6
Calculated XRD peak list of SnBP2O8 for copper Kα, from a DFT-relaxed cell (GGA-PBE, Alexandria).
Kinematic intensities with the Lorentz-polarization factor, no thermal factor.

Atomic structure:
```
data_SnBP2O8
_chemical_formula_sum 'Sn1 B1 P2 O8'
_cell_length_a 7.8510
_cell_length_b 7.8510
_cell_length_c 7.8510
_cell_angle_alpha 35.65
_cell_angle_beta 35.65
_cell_angle_gamma 35.65
_symmetry_space_group_name_H-M 'P 1'
_symmetry_Int_Tables_number 1
loop_
_symmetry_equiv_pos_as_xyz
'x,y,z'
loop_
_atom_site_label
_atom_site_type_symbol
_atom_site_fract_x
_atom_site_fract_y
_atom_site_fract_z
Sn1 Sn 0.0000 0.0000 0.0000
B1 B 0.5000 0.5000 0.5000
P1 P 0.2335 0.2335 0.2335
P2 P 0.7665 0.7665 0.7665
O1 O 0.1371 0.6127 0.6127
O2 O 0.3041 0.3041 0.3041
O3 O 0.3873 0.3873 0.8629
O4 O 0.3873 0.8629 0.3873
O5 O 0.6127 0.1371 0.6127
O6 O 0.6127 0.6127 0.1371
O7 O 0.6959 0.6959 0.6959
O8 O 0.8629 0.3873 0.3873
```

Most intense lines, 10 to 90 degrees two-theta, sorted by position:
d = 4.090 Å, rel. 17; d = 3.321 Å, rel. 100; d = 3.026 Å, rel. 26; d = 2.448 Å, rel. 16; d = 2.403 Å, rel. 29; d = 2.284 Å, rel. 28; d = 2.072 Å, rel. 16; d = 1.660 Å, rel. 13; d = 1.570 Å, rel. 15; d = 1.513 Å, rel. 21

***

No. 7
Calculated XRD peak list of V6ReRu for copper Kα, from a DFT-relaxed cell (GGA-PBE, Alexandria).
Kinematic intensities with the Lorentz-polarization factor, no thermal factor.

Atomic structure:
```
data_V6ReRu
_chemical_formula_sum 'V6 Re1 Ru1'
_cell_length_a 5.2091
_cell_length_b 5.2091
_cell_length_c 4.2438
_cell_angle_alpha 90.00
_cell_angle_beta 90.00
_cell_angle_gamma 109.63
_symmetry_space_group_name_H-M 'P 1'
_symmetry_Int_Tables_number 1
loop_
_symmetry_equiv_pos_as_xyz
'x,y,z'
loop_
_atom_site_label
_atom_site_type_symbol
_atom_site_fract_x
_atom_site_fract_y
_atom_site_fract_z
V1 V 0.0000 0.5000 0.5000
V2 V 0.2488 0.2488 0.0000
V3 V 0.2491 0.7509 0.0000
V4 V 0.5000 0.0000 0.5000
V5 V 0.7509 0.2491 0.0000
V6 V 0.7512 0.7512 0.0000
Re1 Re 0.0000 0.0000 0.5000
Ru1 Ru 0.5000 0.5000 0.5000
```

Most intense lines, 10 to 90 degrees two-theta, sorted by position:
d = 4.906 Å, rel. 6; d = 4.251 Å, rel. 25; d = 3.004 Å, rel. 16; d = 2.452 Å, rel. 13; d = 2.129 Å, rel. 20; d = 2.123 Å, rel. 100; d = 1.606 Å, rel. 7; d = 1.502 Å, rel. 19; d = 1.228 Å, rel. 12; d = 1.226 Å, rel. 25

***

No. 8
Calculated XRD peak list of AlCuSi for copper Kα, from a DFT-relaxed cell (GGA-PBE, Alexandria).
Kinematic intensities with the Lorentz-polarization factor, no thermal factor.

Atomic structure:
```
data_AlCuSi
_chemical_formula_sum 'Al4 Cu4 Si4'
_cell_length_a 5.8086
_cell_length_b 5.8086
_cell_length_c 5.2382
_cell_angle_alpha 90.00
_cell_angle_beta 90.00
_cell_angle_gamma 90.00
_symmetry_space_group_name_H-M 'P 1'
_symmetry_Int_Tables_number 1
loop_
_symmetry_equiv_pos_as_xyz
'x,y,z'
loop_
_atom_site_label
_atom_site_type_symbol
_atom_site_fract_x
_atom_site_fract_y
_atom_site_fract_z
Al1 Al 0.1673 0.3327 0.0000
Al2 Al 0.3327 0.8327 0.0000
Al3 Al 0.6673 0.1673 0.0000
Al4 Al 0.8327 0.6673 0.0000
Cu1 Cu 0.0000 0.0000 0.2630
Cu2 Cu 0.0000 0.0000 0.7370
Cu3 Cu 0.5000 0.5000 0.2630
Cu4 Cu 0.5000 0.5000 0.7370
Si1 Si 0.1469 0.3531 0.5000
Si2 Si 0.3531 0.8531 0.5000
Si3 Si 0.6469 0.1469 0.5000
Si4 Si 0.8531 0.6469 0.5000
```

Most intense lines, 10 to 90 degrees two-theta, sorted by position:
d = 4.107 Å, rel. 97; d = 2.904 Å, rel. 34; d = 2.598 Å, rel. 39; d = 2.208 Å, rel. 100; d = 2.054 Å, rel. 34; d = 1.945 Å, rel. 74; d = 1.844 Å, rel. 27; d = 1.837 Å, rel. 74; d = 1.270 Å, rel. 23; d = 1.213 Å, rel. 26

***

No. 9
Calculated XRD peak list of Mg2Ga3Ag for copper Kα, from a DFT-relaxed cell (GGA-PBE, Alexandria).
Kinematic intensities with the Lorentz-polarization factor, no thermal factor.

Atomic structure:
```
data_Mg2Ga3Ag
_chemical_formula_sum 'Mg4 Ga6 Ag2'
_cell_length_a 9.0503
_cell_length_b 8.4469
_cell_length_c 5.5277
_cell_angle_alpha 77.63
_cell_angle_beta 65.74
_cell_angle_gamma 36.63
_symmetry_space_group_name_H-M 'P 1'
_symmetry_Int_Tables_number 1
loop_
_symmetry_equiv_pos_as_xyz
'x,y,z'
loop_
_atom_site_label
_atom_site_type_symbol
_atom_site_fract_x
_atom_site_fract_y
_atom_site_fract_z
Mg1 Mg 0.2463 0.7537 0.7537
Mg2 Mg 0.2500 0.2500 0.2500
Mg3 Mg 0.7500 0.7500 0.7500
Mg4 Mg 0.7537 0.2463 0.2463
Ga1 Ga 0.1673 0.6667 0.3333
Ga2 Ga 0.3333 0.8327 0.1673
Ga3 Ga 0.3373 0.3373 0.6627
Ga4 Ga 0.6627 0.6627 0.3373
Ga5 Ga 0.6667 0.1673 0.8327
Ga6 Ga 0.8327 0.3333 0.6667
Ag1 Ag 0.1689 0.1689 0.8311
Ag2 Ag 0.8311 0.8311 0.1689
```

Most intense lines, 10 to 90 degrees two-theta, sorted by position:
d = 3.921 Å, rel. 39; d = 3.162 Å, rel. 46; d = 2.462 Å, rel. 82; d = 2.264 Å, rel. 100; d = 1.841 Å, rel. 56; d = 1.666 Å, rel. 24; d = 1.581 Å, rel. 10; d = 1.343 Å, rel. 15; d = 1.308 Å, rel. 11; d = 1.296 Å, rel. 31

***

No. 10
Calculated XRD peak list of Cd2Pd5Au2 for copper Kα, from a DFT-relaxed cell (GGA-PBE, Alexandria).
Kinematic intensities with the Lorentz-polarization factor, no thermal factor.

Atomic structure:
```
data_Cd2Pd5Au2
_chemical_formula_sum 'Cd4 Pd10 Au4'
_cell_length_a 8.6747
_cell_length_b 8.6747
_cell_length_c 8.6747
_cell_angle_alpha 113.96
_cell_angle_beta 75.65
_cell_angle_gamma 147.33
_symmetry_space_group_name_H-M 'P 1'
_symmetry_Int_Tables_number 1
loop_
_symmetry_equiv_pos_as_xyz
'x,y,z'
loop_
_atom_site_label
_atom_site_type_symbol
_atom_site_fract_x
_atom_site_fract_y
_atom_site_fract_z
Cd1 Cd 0.1732 0.0432 0.1300
Cd2 Cd 0.4132 0.0432 0.3700
Cd3 Cd 0.5868 0.9568 0.6300
Cd4 Cd 0.8268 0.9568 0.8700
Pd1 Pd 0.1005 0.0000 0.6005
Pd2 Pd 0.1005 0.5000 0.1005
Pd3 Pd 0.2989 0.0000 0.7989
Pd4 Pd 0.2989 0.5000 0.2989
Pd5 Pd 0.5000 0.0000 0.0000
Pd6 Pd 0.5000 0.5000 0.5000
Pd7 Pd 0.7011 0.0000 0.2011
Pd8 Pd 0.7011 0.5000 0.7011
Pd9 Pd 0.8995 0.0000 0.3995
Pd10 Pd 0.8995 0.5000 0.8995
Au1 Au 0.0000 0.5000 0.5000
Au2 Au 0.1942 0.4442 0.7500
Au3 Au 0.5000 0.5000 0.0000
Au4 Au 0.8058 0.5558 0.2500
```

Most intense lines, 10 to 90 degrees two-theta, sorted by position:
d = 2.688 Å, rel. 100; d = 2.390 Å, rel. 18; d = 2.363 Å, rel. 65; d = 2.168 Å, rel. 88; d = 2.133 Å, rel. 61; d = 2.095 Å, rel. 49; d = 1.568 Å, rel. 19; d = 1.324 Å, rel. 18; d = 1.316 Å, rel. 16; d = 1.204 Å, rel. 16

***

No. 11
Calculated XRD peak list of Pa2As3Ru5 for copper Kα, from a DFT-relaxed cell (GGA-PBE, Alexandria).
Kinematic intensities with the Lorentz-polarization factor, no thermal factor.

Atomic structure:
```
data_Pa2As3Ru5
_chemical_formula_sum 'Pa4 As6 Ru10'
_cell_length_a 12.3384
_cell_length_b 12.3384
_cell_length_c 6.7389
_cell_angle_alpha 90.00
_cell_angle_beta 90.00
_cell_angle_gamma 160.65
_symmetry_space_group_name_H-M 'P 1'
_symmetry_Int_Tables_number 1
loop_
_symmetry_equiv_pos_as_xyz
'x,y,z'
loop_
_atom_site_label
_atom_site_type_symbol
_atom_site_fract_x
_atom_site_fract_y
_atom_site_fract_z
Pa1 Pa 0.0164 0.9836 0.5000
Pa2 Pa 0.3264 0.6736 0.5072
Pa3 Pa 0.6736 0.3264 0.0072
Pa4 Pa 0.9836 0.0164 0.0000
As1 As 0.1112 0.8888 0.2676
As2 As 0.2683 0.7317 0.0194
As3 As 0.4508 0.5492 0.2778
As4 As 0.5492 0.4508 0.7778
As5 As 0.7317 0.2683 0.5194
As6 As 0.8888 0.1112 0.7676
Ru1 Ru 0.1018 0.8982 0.8481
Ru2 Ru 0.2043 0.7957 0.7312
Ru3 Ru 0.2107 0.7893 0.3188
Ru4 Ru 0.3698 0.6302 0.0323
Ru5 Ru 0.4447 0.5553 0.6523
Ru6 Ru 0.5553 0.4447 0.1523
Ru7 Ru 0.6302 0.3698 0.5323
Ru8 Ru 0.7893 0.2107 0.8188
Ru9 Ru 0.7957 0.2043 0.2312
Ru10 Ru 0.8982 0.1018 0.3481
```

Most intense lines, 10 to 90 degrees two-theta, sorted by position:
d = 2.591 Å, rel. 20; d = 2.489 Å, rel. 100; d = 2.477 Å, rel. 57; d = 2.288 Å, rel. 26; d = 2.264 Å, rel. 32; d = 2.107 Å, rel. 16; d = 2.073 Å, rel. 35; d = 1.536 Å, rel. 15; d = 1.358 Å, rel. 18; d = 1.263 Å, rel. 12

***

No. 12
Calculated XRD peak list of TbH6Pt2Rh for copper Kα, from a DFT-relaxed cell (GGA-PBE, Alexandria).
Kinematic intensities with the Lorentz-polarization factor, no thermal factor.

Atomic structure:
```
data_TbH6Pt2Rh
_chemical_formula_sum 'Tb1 H6 Pt2 Rh1'
_cell_length_a 4.8207
_cell_length_b 4.8213
_cell_length_c 5.1305
_cell_angle_alpha 114.24
_cell_angle_beta 114.86
_cell_angle_gamma 96.48
_symmetry_space_group_name_H-M 'P 1'
_symmetry_Int_Tables_number 1
loop_
_symmetry_equiv_pos_as_xyz
'x,y,z'
loop_
_atom_site_label
_atom_site_type_symbol
_atom_site_fract_x
_atom_site_fract_y
_atom_site_fract_z
Tb1 Tb 0.0000 0.0000 0.0000
H1 H 0.0898 0.5560 0.6468
H2 H 0.0996 0.0740 0.5784
H3 H 0.4555 0.7942 0.2500
H4 H 0.5052 0.4786 0.5793
H5 H 0.5485 0.1821 0.0766
H6 H 0.8940 0.5292 0.0796
Pt1 Pt 0.2750 0.7368 0.4880
Pt2 Pt 0.7506 0.2132 0.4878
Rh1 Rh 0.4794 0.4467 0.9266
```

Most intense lines, 10 to 90 degrees two-theta, sorted by position:
d = 2.689 Å, rel. 60; d = 2.666 Å, rel. 60; d = 2.506 Å, rel. 100; d = 2.395 Å, rel. 88; d = 2.005 Å, rel. 25; d = 1.798 Å, rel. 19; d = 1.605 Å, rel. 13; d = 1.534 Å, rel. 11; d = 1.457 Å, rel. 18; d = 1.377 Å, rel. 15

***

No. 13
Calculated XRD peak list of Dy11Cd9Cu4 for copper Kα, from a DFT-relaxed cell (GGA-PBE, Alexandria).
Kinematic intensities with the Lorentz-polarization factor, no thermal factor.

Atomic structure:
```
data_Dy11Cd9Cu4
_chemical_formula_sum 'Dy11 Cd9 Cu4'
_cell_length_a 13.1014
_cell_length_b 13.1014
_cell_length_c 3.6457
_cell_angle_alpha 90.00
_cell_angle_beta 90.00
_cell_angle_gamma 112.43
_symmetry_space_group_name_H-M 'P 1'
_symmetry_Int_Tables_number 1
loop_
_symmetry_equiv_pos_as_xyz
'x,y,z'
loop_
_atom_site_label
_atom_site_type_symbol
_atom_site_fract_x
_atom_site_fract_y
_atom_site_fract_z
Dy1 Dy 0.0000 0.0000 0.0000
Dy2 Dy 0.0773 0.4162 0.0000
Dy3 Dy 0.1620 0.8380 0.0000
Dy4 Dy 0.3058 0.3058 0.0000
Dy5 Dy 0.3698 0.6302 0.0000
Dy6 Dy 0.4162 0.0773 0.0000
Dy7 Dy 0.5838 0.9227 0.0000
Dy8 Dy 0.6302 0.3698 0.0000
Dy9 Dy 0.6942 0.6942 0.0000
Dy10 Dy 0.8380 0.1620 0.0000
Dy11 Dy 0.9227 0.5838 0.0000
Cd1 Cd 0.0733 0.2168 0.5000
Cd2 Cd 0.1569 0.6334 0.5000
Cd3 Cd 0.2168 0.0733 0.5000
Cd4 Cd 0.3666 0.8431 0.5000
Cd5 Cd 0.5000 0.5000 0.5000
Cd6 Cd 0.6334 0.1569 0.5000
Cd7 Cd 0.7832 0.9267 0.5000
Cd8 Cd 0.8431 0.3666 0.5000
Cd9 Cd 0.9267 0.7832 0.5000
Cu1 Cu 0.2531 0.4511 0.5000
Cu2 Cu 0.4511 0.2531 0.5000
Cu3 Cu 0.5489 0.7469 0.5000
Cu4 Cu 0.7469 0.5489 0.5000
```

Most intense lines, 10 to 90 degrees two-theta, sorted by position:
d = 2.890 Å, rel. 7; d = 2.797 Å, rel. 6; d = 2.705 Å, rel. 9; d = 2.573 Å, rel. 100; d = 2.424 Å, rel. 10; d = 2.370 Å, rel. 7; d = 1.822 Å, rel. 13; d = 1.487 Å, rel. 14; d = 1.285 Å, rel. 6; d = 1.153 Å, rel. 6